# Be17ZnTc
Computed powder diffractogram, Cu Kα, 1.54184 Å. Input: the GGA-PBE geometry in Alexandria.
Neutral-atom scattering factors, no anomalous dispersion.

Principal peaks in the range 2θ = 10–90°, in order of rising 2θ:
- 16.31°, I = 88
- 24.58°, I = 100
- 29.65°, I = 24
- 35.01°, I = 69
- 35.98°, I = 32
- 43.29°, I = 31
- 44.06°, I = 23
- 50.38°, I = 44
- 50.41°, I = 24
- 51.11°, I = 26

Cell and atoms:
```
Be17ZnTc
1.0
3.620 2.090 3.628
-3.620 2.090 3.628
0.000 -4.180 3.628
Be Zn Tc
17 1 1
Direct
0.005 0.498 0.498
0.060 0.060 0.060
0.158 0.467 0.851
0.158 0.851 0.467
0.168 0.168 0.657
0.168 0.657 0.168
0.260 0.260 0.260
0.324 0.812 0.812
0.467 0.158 0.851
0.467 0.851 0.158
0.498 0.005 0.498
0.498 0.498 0.005
0.657 0.168 0.168
0.812 0.324 0.812
0.812 0.812 0.324
0.851 0.158 0.467
0.851 0.467 0.158
0.774 0.774 0.774
0.486 0.486 0.486
```

# BeZnTc3
Computed powder diffractogram, Cu Kα, 1.54184 Å. Input: the GGA-PBE geometry in Alexandria.
Neutral-atom scattering factors, no anomalous dispersion.

Principal peaks in the range 2θ = 10–90°, in order of rising 2θ:
- 21.47°, I = 3
- 30.54°, I = 1
- 37.64°, I = 100
- 43.74°, I = 52
- 49.22°, I = 1
- 63.57°, I = 33
- 67.93°, I = 1
- 76.29°, I = 36
- 80.35°, I = 11

Cell and atoms:
```
BeZnTc3
1.0
4.140 0.000 0.000
0.000 4.140 0.000
0.000 0.000 4.140
Be Zn Tc
1 1 3
Direct
0.000 0.000 0.000
0.500 0.500 0.500
0.000 0.000 0.500
0.000 0.500 0.000
0.500 0.000 0.000
```